The following is a calculated powder X-ray diffraction pattern of Y2NiGe3. It was derived from a GGA-PBE-relaxed structure, using Cu Kα.
Kinematic intensities with the Lorentz-polarization factor, no thermal factor.

Atomic structure:
Lattice parameters (Å, degrees): 4.0415 4.1871 7.0216 90.00 90.00 90.00
Space group Pmm2 (No. 25)
Asymmetric unit:
Y1 0.0000 0.0000 0.0000 [1 per cell]
Y2 0.0000 0.5000 0.4933 [1 per cell]
Ni1 0.5000 0.0000 0.3172 [1 per cell]
Ge1 0.5000 0.0000 0.6413 [1 per cell]
Ge2 0.5000 0.5000 0.1847 [1 per cell]
Ge3 0.5000 0.5000 0.8328 [1 per cell]

Most intense lines, 10 to 90 degrees two-theta, most intense first:
2.687 Å, rel. 100, (1 1 1); 2.650 Å, rel. 50, (1 0 2); 2.043 Å, rel. 44, (0 1 3); 1.437 Å, rel. 27, (2 1 3); 2.094 Å, rel. 25, (0 2 0); 2.021 Å, rel. 23, (2 0 0); 1.643 Å, rel. 22, (1 2 2); 1.454 Å, rel. 16, (2 2 0)



The following is a calculated powder X-ray diffraction pattern of PmBr2. It was derived from a GGA-PBE-relaxed structure, using Cu Kα.
Kinematic intensities with the Lorentz-polarization factor, no thermal factor.

Atomic structure:
Lattice parameters (Å, degrees): 7.4807 7.4807 3.7565 90.00 90.00 90.00
Space group P4_2/mnm (No. 136)
Asymmetric unit:
Pm1 0.0000 0.0000 0.0000 [2 per cell]
Br1 0.2184 0.2184 0.5000 [4 per cell]

Most intense lines, 10 to 90 degrees two-theta, most intense first:
5.290 Å, rel. 100, (1 1 0); 2.498 Å, rel. 80, (2 1 1); 2.645 Å, rel. 62, (2 2 0); 3.063 Å, rel. 56, (1 1 1); 3.354 Å, rel. 48, (1 0 1); 2.077 Å, rel. 44, (3 0 1); 1.303 Å, rel. 24, (5 2 1); 2.002 Å, rel. 23, (3 1 1)



The following is a calculated powder X-ray diffraction pattern of Cs2Se3. It was derived from a GGA-PBE-relaxed structure, using Cu Kα.
Kinematic intensities with the Lorentz-polarization factor, no thermal factor.

Atomic structure:
Lattice parameters (Å, degrees): 8.1264 11.7591 8.5379 90.00 90.00 90.00
Space group Cmc2_1 (No. 36)
Asymmetric unit:
Cs1 0.0000 0.0825 0.0000 [4 per cell]
Cs2 0.0000 0.4022 0.2189 [4 per cell]
Se1 0.0000 0.2925 0.6865 [4 per cell]
Se2 0.2364 0.3371 0.8445 [8 per cell]

Most intense lines, 10 to 90 degrees two-theta, most intense first:
3.598 Å, rel. 100, (1 1 2); 3.113 Å, rel. 91, (2 2 1); 3.263 Å, rel. 87, (1 3 1); 2.942 Å, rel. 47, (2 0 2); 2.780 Å, rel. 39, (0 4 1); 1.827 Å, rel. 38, (2 4 3); 2.562 Å, rel. 34, (0 2 3); 1.890 Å, rel. 28, (2 0 4)



The following is a calculated powder X-ray diffraction pattern of Ba3Nb2Se9. It was derived from a GGA-PBE-relaxed structure, using Cu Kα.
Kinematic intensities with the Lorentz-polarization factor, no thermal factor.

Atomic structure:
Lattice parameters (Å, degrees): 7.4577 12.5790 17.8536 90.00 97.40 90.00
Space group P2_1/c (No. 14)
Asymmetric unit:
Ba1 0.2376 0.0890 0.0847 [4 per cell]
Ba2 0.2429 0.0687 0.4198 [4 per cell]
Ba3 0.2452 0.7436 0.7462 [4 per cell]
Nb1 0.2137 0.0556 0.8509 [4 per cell]
Nb2 0.2802 0.0675 0.6535 [4 per cell]
Se1 0.0022 0.6523 0.5804 [4 per cell]
Se2 0.0051 0.0264 0.2493 [4 per cell]
Se3 0.0123 0.1897 0.6183 [4 per cell]
Se4 0.1991 0.5850 0.0716 [4 per cell]
Se5 0.2546 0.2267 0.7591 [4 per cell]
Se6 0.3161 0.5828 0.4402 [4 per cell]
Se7 0.4642 0.2046 0.8806 [4 per cell]
Se8 0.4891 0.5168 0.2596 [4 per cell]
Se9 0.4972 0.1582 0.5839 [4 per cell]

Most intense lines, 10 to 90 degrees two-theta, most intense first:
2.948 Å, rel. 100, (0 0 6); 2.735 Å, rel. 73, (2 2 -4); 3.111 Å, rel. 50, (2 2 -2); 2.963 Å, rel. 47, (0 4 2); 2.683 Å, rel. 42, (2 2 3); 1.824 Å, rel. 38, (2 6 0); 2.461 Å, rel. 35, (2 2 4); 2.350 Å, rel. 34, (0 4 5)



The following is a calculated powder X-ray diffraction pattern of SmVSb3. It was derived from a GGA-PBE-relaxed structure, using Cu Kα.
Kinematic intensities with the Lorentz-polarization factor, no thermal factor.

Atomic structure:
Lattice parameters (Å, degrees): 9.6772 9.0119 6.2565 90.00 90.00 90.00
Space group Pbcm (No. 57)
Asymmetric unit:
Sm1 0.1716 0.0290 0.2500 [4 per cell]
V1 0.3137 0.7500 0.0000 [4 per cell]
Sb1 0.0336 0.7500 0.0000 [4 per cell]
Sb2 0.2745 0.0035 0.7500 [4 per cell]
Sb3 0.4611 0.2148 0.2500 [4 per cell]

Most intense lines, 10 to 90 degrees two-theta, most intense first:
3.298 Å, rel. 100, (2 2 0); 2.484 Å, rel. 45, (1 2 2); 2.570 Å, rel. 40, (0 2 2); 3.523 Å, rel. 38, (2 1 1); 2.253 Å, rel. 30, (0 4 0); 2.246 Å, rel. 28, (3 0 2); 2.189 Å, rel. 25, (4 1 1); 2.269 Å, rel. 25, (2 2 2)



The following is a calculated powder X-ray diffraction pattern of Nd2MgCuO4. It was derived from a GGA-PBE-relaxed structure, using Cu Kα.
Kinematic intensities with the Lorentz-polarization factor, no thermal factor.

Atomic structure:
Lattice parameters (Å, degrees): 5.7239 5.7178 7.8109 90.00 111.32 90.00
Space group Cm (No. 8)
Asymmetric unit:
Nd1 0.0000 0.0000 0.0000 [2 per cell]
Nd2 0.2381 0.0000 0.4682 [2 per cell]
Mg1 0.3064 0.5000 0.6064 [2 per cell]
Cu1 0.1255 0.5000 0.2485 [2 per cell]
O1 0.0808 0.2501 0.6561 [4 per cell]
O2 0.3294 0.2493 0.1589 [4 per cell]

Most intense lines, 10 to 90 degrees two-theta, most intense first:
2.363 Å, rel. 100, (1 1 -3); 3.107 Å, rel. 86, (1 1 1); 2.860 Å, rel. 74, (0 2 0); 3.897 Å, rel. 62, (1 1 -1); 2.023 Å, rel. 54, (2 2 -1); 1.535 Å, rel. 44, (3 1 -4); 2.250 Å, rel. 37, (2 0 1); 1.538 Å, rel. 32, (1 3 2)